# 1
Starting from a DFT-relaxed cell (GGA+U, Alexandria), the powder X-ray diffraction pattern of BaFe2P2O8 was computed for CuKα.
Intensities are scaled so that the largest is 100.

Cell and atoms:
abc: 4.942 4.942 16.182
angles: 81.38 89.89 60.07
Space group P1 (No. 1)
Inequivalent atoms, fractional coordinates:
Ba: 0.000 0.000 0.000 (multiplicity 1)
Ba: 0.490 0.993 0.500 (multiplicity 1)
Fe: 0.090 0.821 0.255 (multiplicity 1)
Fe: 0.407 0.171 0.245 (multiplicity 1)
Fe: 0.575 0.836 0.755 (multiplicity 1)
Fe: 0.912 0.162 0.745 (multiplicity 1)
P: 0.199 0.571 0.638 (multiplicity 1)
P: 0.281 0.428 0.862 (multiplicity 1)
P: 0.713 0.578 0.138 (multiplicity 1)
P: 0.785 0.420 0.362 (multiplicity 1)
O: 0.019 0.252 0.170 (multiplicity 1)
O: 0.081 0.432 0.332 (multiplicity 1)
O: 0.173 0.630 0.542 (multiplicity 1)
O: 0.218 0.847 0.670 (multiplicity 1)
O: 0.251 0.157 0.831 (multiplicity 1)
O: 0.324 0.362 0.958 (multiplicity 1)
O: 0.417 0.572 0.171 (multiplicity 1)
O: 0.484 0.751 0.331 (multiplicity 1)
O: 0.501 0.244 0.671 (multiplicity 1)
O: 0.572 0.440 0.826 (multiplicity 1)
O: 0.682 0.638 0.042 (multiplicity 1)
O: 0.737 0.851 0.170 (multiplicity 1)
O: 0.762 0.153 0.326 (multiplicity 1)
O: 0.812 0.348 0.458 (multiplicity 1)
O: 0.902 0.565 0.670 (multiplicity 1)
O: 0.973 0.753 0.832 (multiplicity 1)

Largest 6 diffraction maxima, most intense first, 2θ from 15° to 90°:
| Position (°2θ) | I_rel |
| --- | --- |
| 27.94 | 100 |
| 36.34 | 100 |
| 22.05 | 52 |
| 28.03 | 50 |
| 33.53 | 43 |
| 21.08 | 41 |

# 2
Starting from a DFT-relaxed cell (GGA+U, Alexandria), the powder X-ray diffraction pattern of Ba2PaFeO6 was computed for CuKα.
Intensities are scaled so that the largest is 100.

Cell and atoms:
abc: 4.309 4.309 8.482
angles: 90.00 90.00 90.00
Space group P4/mmm (No. 123)
Inequivalent atoms, fractional coordinates:
Ba: 0.000 0.000 0.212 (multiplicity 2)
Pa: 0.500 0.500 0.500 (multiplicity 1)
Fe: 0.500 0.500 0.000 (multiplicity 1)
O: 0.000 0.500 0.000 (multiplicity 2)
O: 0.000 0.500 0.500 (multiplicity 2)
O: 0.500 0.500 0.245 (multiplicity 2)

Largest 6 diffraction maxima, most intense first, 2θ from 15° to 90°:
| Position (°2θ) | I_rel |
| --- | --- |
| 29.55 | 100 |
| 29.31 | 58 |
| 52.14 | 42 |
| 23.15 | 40 |
| 41.94 | 34 |
| 43.68 | 18 |

# 3
Starting from a DFT-relaxed cell (GGA+U, Alexandria), the powder X-ray diffraction pattern of BaPaFeO6 was computed for CuKα.
Intensities are scaled so that the largest is 100.

Cell and atoms:
abc: 5.8001 5.8001 4.8729
angles: 90.00 90.00 120.00
Space group P312 (No. 149)
Inequivalent atoms, fractional coordinates:
Ba: 0.0000 0.0000 0.0000 (multiplicity 1)
Pa: 0.6667 0.3333 0.5000 (multiplicity 1)
Fe: 0.3333 0.6667 0.0000 (multiplicity 1)
O: 0.0107 0.4223 0.2410 (multiplicity 6)

Largest 6 diffraction maxima, most intense first, 2θ from 15° to 90°:
| Position (°2θ) | I_rel |
| --- | --- |
| 25.47 | 100 |
| 30.83 | 41 |
| 48.82 | 33 |
| 40.40 | 30 |
| 51.67 | 30 |
| 17.66 | 22 |

# 4
Starting from a DFT-relaxed cell (GGA+U, Alexandria), the powder X-ray diffraction pattern of Ba2Fe2PbO6 was computed for CuKα.
Intensities are scaled so that the largest is 100.

Cell and atoms:
abc: 6.1989 6.1989 17.6297
angles: 90.00 90.00 120.00
Space group R-3m (No. 166, hexagonal axes)
Inequivalent atoms, fractional coordinates:
Ba: 0.0000 0.0000 0.2113 (multiplicity 6)
Fe: 0.0000 0.0000 0.4278 (multiplicity 6)
Pb: 0.0000 0.0000 0.0000 (multiplicity 3)
O: 0.0110 0.5055 0.7561 (multiplicity 18)

Largest 6 diffraction maxima, most intense first, 2θ from 15° to 90°:
| Position (°2θ) | I_rel |
| --- | --- |
| 28.80 | 100 |
| 30.33 | 77 |
| 42.32 | 37 |
| 52.00 | 35 |
| 26.16 | 34 |
| 17.27 | 28 |

# 5
Starting from a DFT-relaxed cell (GGA+U, Alexandria), the powder X-ray diffraction pattern of BaFe2S2O was computed for CuKα.
Intensities are scaled so that the largest is 100.

Cell and atoms:
abc: 6.674 4.114 9.944
angles: 90.00 90.11 90.00
Space group P2_1 (No. 4)
Inequivalent atoms, fractional coordinates:
Ba: 0.030 0.000 0.250 (multiplicity 2)
Fe: 0.369 0.990 0.918 (multiplicity 2)
Fe: 0.371 0.993 0.583 (multiplicity 2)
S: 0.268 0.497 0.042 (multiplicity 2)
S: 0.268 0.499 0.460 (multiplicity 2)
O: 0.221 0.003 0.750 (multiplicity 2)

Largest 6 diffraction maxima, most intense first, 2θ from 15° to 90°:
| Position (°2θ) | I_rel |
| --- | --- |
| 22.30 | 100 |
| 34.76 | 76 |
| 27.00 | 54 |
| 26.98 | 54 |
| 35.81 | 45 |
| 32.31 | 33 |